Diffraction record for Tm2TiTe4. The PXRD pattern is calculated, not measured: it uses a crystal structure in Alexandria, relaxed with GGA-PBE and Cu Kα (λ = 1.5418 Å).
Intensities are scaled so that the largest is 1000.

Crystal structure
```
data_Tm2TiTe4
_cell_length_a 15.331
_cell_length_b 4.195
_cell_length_c 7.465
_cell_angle_alpha 90.00
_cell_angle_beta 118.78
_cell_angle_gamma 90.00
_symmetry_space_group_name_H-M 'C 1 2/m 1'
_symmetry_Int_Tables_number 12
loop_
_symmetry_equiv_pos_as_xyz
'x,y,z'
'-x,-y,-z'
'-x,y,-z'
'x,-y,z'
'x+1/2,y+1/2,z'
'-x+1/2,-y+1/2,-z'
'-x+1/2,y+1/2,-z'
'x+1/2,-y+1/2,z'
loop_
_atom_site_label
_atom_site_fract_x
_atom_site_fract_y
_atom_site_fract_z
Tm1 0.244 0.000 0.227
Ti1 0.000 0.500 0.500
Te1 0.110 0.500 0.936
Te2 0.121 0.000 0.458
```

Peak list (10 most intense, 2θ from 10° to 90°, low angle first)
(2 0 0), 13.18 deg, intensity 256
(4 0 -2), 27.41 deg, intensity 499
(1 1 1), 27.74 deg, intensity 1000
(2 0 2), 35.85 deg, intensity 226
(3 1 1), 36.25 deg, intensity 227
(5 1 -1), 36.37 deg, intensity 450
(3 1 -3), 42.23 deg, intensity 426
(0 2 0), 43.13 deg, intensity 210
(7 1 -1), 47.68 deg, intensity 150
(4 2 -2), 51.86 deg, intensity 176